PHPb2F10: computed PXRD pattern (Cu Kα (λ = 1.5418 Å)), based on a structure optimized by DFT (GGA-PBE).
Peak positions follow from Bragg's law for the DFT cell and can differ from measured ones.

Structure:
```
data_PHPb2F10
_cell_length_a 4.658
_cell_length_b 4.843
_cell_length_c 8.930
_cell_angle_alpha 86.18
_cell_angle_beta 76.64
_cell_angle_gamma 81.79
_symmetry_space_group_name_H-M 'P 1'
_symmetry_Int_Tables_number 1
loop_
_symmetry_equiv_pos_as_xyz
'x,y,z'
loop_
_atom_site_label
_atom_site_type_symbol
_atom_site_fract_x
_atom_site_fract_y
_atom_site_fract_z
_atom_site_occupancy
P1 P 0.000 0.000 0.000 1
H1 H 0.500 0.000 0.500 1
Pb1 Pb 0.325 0.532 0.314 1
Pb2 Pb 0.675 0.468 0.686 1
F1 F 0.067 0.097 0.160 1
F2 F 0.156 0.259 0.904 1
F3 F 0.211 0.521 0.585 1
F4 F 0.320 0.799 0.966 1
F5 F 0.388 0.027 0.397 1
F6 F 0.612 0.973 0.603 1
F7 F 0.680 0.201 0.034 1
F8 F 0.789 0.479 0.415 1
F9 F 0.844 0.741 0.096 1
F10 F 0.933 0.903 0.840 1
```

Largest 10 diffraction maxima, most intense first, 10 to 80 degrees two-theta:
(1 0 -1), 24.3°, d = 3.669 Å, rel. 100; (0 1 0), 18.5°, d = 4.791 Å, rel. 88; (1 0 2), 25.1°, d = 3.545 Å, rel. 75; (0 1 1), 20.9°, d = 4.258 Å, rel. 53; (1 1 2), 29.3°, d = 3.050 Å, rel. 53; (1 1 0), 25.3°, d = 3.515 Å, rel. 50; (0 0 3), 30.9°, d = 2.894 Å, rel. 43; (1 1 4), 44.4°, d = 2.041 Å, rel. 39; (0 1 -2), 28.2°, d = 3.162 Å, rel. 38; (1 -1 1), 29.5°, d = 3.032 Å, rel. 35